Record 1
Starting from a cell relaxed with GGA+U, the powder diffractogram of Mg3FeO4 was simulated for Cu Kα.
Neutral-atom scattering factors, no anomalous dispersion.

Atomic structure:
```
Mg3FeO4
1.0
3.018 0.000 0.000
-1.485 2.629 0.000
-0.184 -1.649 9.962
Mg Fe O
3 1 4
Cartesian
0.000 0.000 0.000
-0.156 0.092 7.508
1.505 0.888 2.454
1.417 -0.824 4.981
0.005 0.000 3.651
0.016 1.764 1.226
1.332 -0.784 8.736
1.343 0.980 6.311
```

Most intense lines, 2θ from 10° to 90°, by angle:
2θ/deg  Rel. int.
17.81  10.9
36.06  9.8
36.33  28.6
41.83  100.0
42.69  47.4
60.39  14.0
60.89  14.2
61.16  27.7
61.45  27.1
77.20  12.6

=====

Record 2
Starting from a cell relaxed with GGA+U, the powder diffractogram of Mg4FeO5 was simulated for Cu Kα.
Neutral-atom scattering factors, no anomalous dispersion.

Atomic structure:
```
Mg4FeO5
1.0
2.629 -1.504 0.000
2.629 1.504 0.000
-1.850 0.000 12.422
Mg Fe O
4 1 5
Cartesian
-0.028 0.000 3.682
-0.087 0.000 11.195
3.496 0.000 1.226
3.437 0.000 8.740
1.704 0.000 6.211
0.000 0.000 0.000
-0.084 0.000 7.541
1.735 0.000 2.451
1.674 0.000 9.971
3.493 0.000 4.881
```

Most intense lines, 2θ from 10° to 90°, by angle:
2θ/deg  Rel. int.
14.26  12.6
36.16  8.8
36.38  25.6
41.90  51.5
42.34  100.0
60.97  28.5
61.19  42.9
61.66  14.4
77.12  6.5
77.35  12.8

=====

Record 3
Starting from a cell relaxed with GGA+U, the powder diffractogram of MgFe2O4 was simulated for Cu Kα.
Neutral-atom scattering factors, no anomalous dispersion.

Atomic structure:
```
MgFe2O4
1.0
8.758 0.000 0.000
0.000 2.877 0.000
0.000 0.000 10.169
Mg Fe O
4 8 16
Cartesian
2.126 0.719 1.616
2.253 2.158 6.700
6.505 0.719 3.469
6.631 2.158 8.553
0.507 0.719 3.890
0.770 0.719 9.162
3.609 2.158 4.078
3.872 2.158 8.975
4.886 0.719 1.194
5.149 0.719 6.091
7.987 2.158 1.007
8.251 2.158 6.279
0.338 2.158 7.985
0.782 0.719 5.819
1.060 2.158 0.349
1.763 2.158 3.312
2.616 0.719 8.396
3.319 0.719 5.434
3.596 2.158 0.734
4.041 0.719 2.901
4.717 2.158 7.268
5.161 0.719 9.434
5.439 2.158 4.735
6.141 2.158 1.773
6.995 0.719 6.857
7.697 0.719 9.820
7.975 2.158 4.350
8.419 0.719 2.184
```

Most intense lines, 2θ from 10° to 90°, by angle:
2θ/deg  Rel. int.
20.25  59.7
35.31  35.5
35.46  69.3
37.36  100.0
45.11  15.3
52.37  32.5
52.52  22.2
64.71  15.1
64.84  36.7
76.07  20.4

=====

Record 4
Starting from a cell relaxed with GGA+U, the powder diffractogram of MgFe4O8 was simulated for Cu Kα.
Neutral-atom scattering factors, no anomalous dispersion.

Atomic structure:
```
MgFe4O8
1.0
5.131 0.000 0.000
0.000 2.975 0.000
-0.332 0.000 9.665
Mg Fe O
1 4 8
Cartesian
0.000 0.000 0.000
-0.018 0.000 4.163
2.205 0.000 8.940
2.557 1.488 2.102
4.795 1.488 6.790
0.661 0.000 7.740
0.814 1.488 5.096
1.389 1.488 0.315
1.529 0.000 2.845
3.487 0.000 1.104
3.513 1.488 8.495
3.932 0.000 5.893
4.152 1.488 3.340
```

Most intense lines, 2θ from 10° to 90°, by angle:
2θ/deg  Rel. int.
19.31  88.5
19.88  100.0
32.30  57.7
33.35  41.1
35.43  65.5
35.96  36.9
36.28  33.7
50.16  45.1
51.11  75.2
60.39  34.1

=====

Record 5
Starting from a cell relaxed with GGA+U, the powder diffractogram of MgFeO3 was simulated for Cu Kα.
Neutral-atom scattering factors, no anomalous dispersion.

Atomic structure:
```
MgFeO3
1.0
5.277 0.000 0.000
0.000 7.451 0.000
0.000 0.000 5.064
Mg Fe O
4 4 12
Cartesian
0.337 1.863 0.075
2.302 5.588 2.607
2.975 1.863 2.457
4.940 5.588 4.989
0.000 0.000 2.532
0.000 3.725 2.532
2.638 0.000 0.000
2.638 3.725 0.000
0.305 5.588 1.891
1.002 4.224 4.110
1.002 6.952 4.110
1.636 0.498 1.578
1.636 3.227 1.578
2.333 1.863 4.423
2.944 5.588 0.642
3.641 4.224 3.486
3.641 6.952 3.486
4.274 0.498 0.954
4.274 3.227 0.954
4.971 1.863 3.174
```

Most intense lines, 2θ from 10° to 90°, by angle:
2θ/deg  Rel. int.
23.89  21.5
24.36  47.2
33.98  23.2
34.38  100.0
35.45  17.7
48.90  17.2
49.92  29.3
55.33  20.0
61.07  17.5
62.97  30.7